# La2MgNi2O6
Theoretical XRD peak list, Cu Kα X-rays. Input: a cell relaxed with GGA+U.
Lines closer than 0.1° are merged.

Most intense lines, 2θ = 5–70°, sorted by position:
2θ 16.78, intensity 18.3
2θ 18.51, intensity 14.7
2θ 20.92, intensity 24.3
2θ 30.79, intensity 100.0
2θ 33.42, intensity 89.5
2θ 35.27, intensity 20.3
2θ 37.52, intensity 12.7
2θ 46.08, intensity 39.7
2θ 54.75, intensity 29.6
2θ 56.44, intensity 42.6
2θ 61.34, intensity 14.4
2θ 64.14, intensity 13.7

Lattice parameters (Å, degrees): 5.8077 5.8077 15.8459 90.00 90.00 120.00
Space group R3 (No. 146, hexagonal axes)
Asymmetric unit:
La: 0.0000 0.0000 0.0000 [3 per cell]
La: 0.0000 0.0000 0.4093 [3 per cell]
Mg: 0.0000 0.0000 0.7732 [3 per cell]
Ni: 0.0000 0.0000 0.2017 [3 per cell]
Ni: 0.0000 0.0000 0.6034 [3 per cell]
O: 0.0148 0.6099 0.9580 [9 per cell]
O: 0.0684 0.3608 0.7850 [9 per cell]